Record 1
Structure and theoretical X-ray powder pattern of KDy2Cl7 (a crystal structure in OQMD, relaxed with GGA-PBE; a wavelength of 1.5418 Å).
Neutral-atom scattering factors, no anomalous dispersion.

Largest 10 diffraction maxima, in order of falling intensity, 2θ from 10° to 90°:
d [Å]	Position (°2θ)	intensity
6.438	13.8	1000
3.457	25.8	699
6.053	14.6	499
4.397	20.2	380
2.290	39.4	374
4.422	20.1	334
2.540	35.3	323
2.748	32.6	286
1.995	45.5	233
2.758	32.5	220

Cell and atoms:
Cell lengths 6.9003, 12.6063, 12.8757 Å; angles 90.00, 90.37, 90.00 degrees
Fractional positions:
K (0.2233, 0.2032, 0.0384)
K (0.2233, 0.2968, 0.5384)
K (0.7767, 0.7032, 0.4616)
K (0.7767, 0.7968, 0.9616)
Dy (0.2271, 0.5384, 0.2357)
Dy (0.2271, 0.9616, 0.7357)
Dy (0.2749, 0.6592, 0.7473)
Dy (0.2749, 0.8408, 0.2473)
Dy (0.7251, 0.1592, 0.7527)
Dy (0.7251, 0.3408, 0.2527)
Dy (0.7729, 0.0384, 0.2643)
Dy (0.7729, 0.4616, 0.7643)
Cl (0.0038, 0.7035, 0.1715)
Cl (0.0038, 0.7965, 0.6715)
Cl (0.0212, 0.5753, 0.8831)
Cl (0.0212, 0.9247, 0.3831)
Cl (0.0543, 0.5252, 0.6314)
Cl (0.0543, 0.9748, 0.1314)
Cl (0.2544, 0.6862, 0.3950)
Cl (0.2544, 0.8138, 0.8950)
Cl (0.4586, 0.0872, 0.6173)
Cl (0.4586, 0.4128, 0.1173)
Cl (0.4628, 0.0567, 0.8737)
Cl (0.4628, 0.4433, 0.3737)
Cl (0.4920, 0.6798, 0.1711)
Cl (0.4920, 0.8202, 0.6711)
Cl (0.5080, 0.1798, 0.3289)
Cl (0.5080, 0.3202, 0.8289)
Cl (0.5372, 0.5567, 0.6263)
Cl (0.5372, 0.9433, 0.1263)
Cl (0.5414, 0.5872, 0.8827)
Cl (0.5414, 0.9128, 0.3827)
Cl (0.7456, 0.1862, 0.1050)
Cl (0.7456, 0.3138, 0.6050)
Cl (0.9457, 0.0252, 0.8686)
Cl (0.9457, 0.4748, 0.3686)
Cl (0.9788, 0.0753, 0.6169)
Cl (0.9788, 0.4247, 0.1169)
Cl (0.9962, 0.2035, 0.3285)
Cl (0.9962, 0.2965, 0.8285)

=====

Record 2
Structure and theoretical X-ray powder pattern of LaDySbCl2 (a crystal structure in OQMD, relaxed with GGA-PBE; a wavelength of 1.5418 Å).
Neutral-atom scattering factors, no anomalous dispersion.

Largest 10 diffraction maxima, in order of falling intensity, 2θ from 10° to 90°:
d [Å]	Position (°2θ)	intensity
3.049	29.3	1000
2.141	42.2	392
2.173	41.6	387
3.504	25.4	374
2.573	34.9	293
1.752	52.2	192
2.099	43.1	167
1.356	69.3	162
1.372	68.4	151
1.242	76.8	124

Cell and atoms:
Cell lengths 4.2804, 4.2804, 10.7250 Å; angles 90.00, 90.00, 120.00 degrees
Fractional positions:
La (0.0000, 0.0000, 0.0000)
Dy (0.6667, 0.3333, 0.6607)
Sb (0.3333, 0.6667, 0.8193)
Cl (0.0000, 0.0000, 0.5228)
Cl (0.6667, 0.3333, 0.1514)

=====

Record 3
Structure and theoretical X-ray powder pattern of DyLuS2Cl2 (a crystal structure in OQMD, relaxed with GGA-PBE; a wavelength of 1.5418 Å).
Neutral-atom scattering factors, no anomalous dispersion.

Largest 10 diffraction maxima, in order of falling intensity, 2θ from 10° to 90°:
d [Å]	Position (°2θ)	intensity
8.370	10.6	1000
4.481	19.8	728
2.869	31.2	625
1.948	46.6	410
2.092	43.2	402
3.564	25.0	276
2.653	33.8	270
2.959	30.2	258
3.286	27.1	166
3.163	28.2	140

Cell and atoms:
Cell lengths 3.9396, 5.3056, 8.3697 Å; angles 90.00, 90.00, 90.00 degrees
Fractional positions:
Dy (0.0000, 0.0000, 0.0000)
Lu (0.5000, 0.5000, 0.2772)
S (0.0000, 0.5000, 0.0584)
S (0.5000, 0.0000, 0.2287)
Cl (0.0000, 0.5000, 0.4835)
Cl (0.5000, 0.0000, 0.7862)

=====

Record 4
Structure and theoretical X-ray powder pattern of Nd2Dy2NCl5 (a crystal structure in OQMD, relaxed with GGA-PBE; a wavelength of 1.5418 Å).
Neutral-atom scattering factors, no anomalous dispersion.

Largest 10 diffraction maxima, in order of falling intensity, 2θ from 10° to 90°:
d [Å]	Position (°2θ)	intensity
7.829	11.3	1000
2.740	32.7	823
2.762	32.4	545
1.946	46.7	384
8.295	10.7	361
3.097	28.8	270
3.256	27.4	252
2.481	36.2	188
2.561	35.0	173
2.493	36.0	171

Cell and atoms:
Cell lengths 8.7385, 8.7385, 8.0574 Å; angles 103.34, 103.34, 24.70 degrees
Fractional positions:
Nd (0.0011, 0.0011, 0.2900)
Nd (0.9989, 0.9989, 0.7100)
Dy (0.3592, 0.3592, 0.4255)
Dy (0.6408, 0.6408, 0.5745)
N (0.5000, 0.5000, 0.5000)
Cl (0.1691, 0.1691, 0.8256)
Cl (0.1749, 0.1749, 0.3493)
Cl (0.5000, 0.5000, 0.0000)
Cl (0.8251, 0.8251, 0.6507)
Cl (0.8309, 0.8309, 0.1744)

=====

Record 5
Structure and theoretical X-ray powder pattern of DyYNCl2 (a crystal structure in OQMD, relaxed with GGA-PBE; a wavelength of 1.5418 Å).
Neutral-atom scattering factors, no anomalous dispersion.

Largest 10 diffraction maxima, in order of falling intensity, 2θ from 10° to 90°:
d [Å]	Position (°2θ)	intensity
2.649	33.8	1000
2.283	39.5	358
2.975	30.0	305
3.115	28.7	283
1.798	50.8	244
1.691	54.2	189
1.958	46.4	162
1.488	62.4	162
1.146	84.5	139
1.770	51.6	124

Cell and atoms:
Cell lengths 3.5964, 3.5964, 10.0688 Å; angles 90.00, 90.00, 120.00 degrees
Fractional positions:
Dy (0.0000, 0.0000, 0.0000)
Y (0.6667, 0.3333, 0.7416)
N (0.3333, 0.6667, 0.8719)
Cl (0.0000, 0.0000, 0.5650)
Cl (0.6667, 0.3333, 0.1764)

=====

Record 6
Structure and theoretical X-ray powder pattern of DyYNCl3 (a crystal structure in OQMD, relaxed with GGA-PBE; a wavelength of 1.5418 Å).
Neutral-atom scattering factors, no anomalous dispersion.

Largest 10 diffraction maxima, in order of falling intensity, 2θ from 10° to 90°:
d [Å]	Position (°2θ)	intensity
7.948	11.1	1000
3.268	27.3	434
3.093	28.9	339
2.610	34.4	274
1.999	45.4	199
2.492	36.0	177
2.693	33.3	175
2.670	33.6	161
3.490	25.5	153
1.861	48.9	135

Cell and atoms:
Cell lengths 8.4606, 8.4606, 10.7915 Å; angles 121.18, 121.18, 26.16 degrees
Fractional positions:
Dy (0.1381, 0.1381, 0.2929)
Dy (0.8619, 0.8619, 0.7071)
Y (0.4167, 0.4167, 0.0443)
Y (0.5833, 0.5833, 0.9557)
N (0.4230, 0.4230, 0.8422)
N (0.5770, 0.5770, 0.1578)
Cl (0.0439, 0.0439, 0.7482)
Cl (0.2204, 0.2204, 0.1152)
Cl (0.3334, 0.3334, 0.4873)
Cl (0.6666, 0.6666, 0.5127)
Cl (0.7796, 0.7796, 0.8848)
Cl (0.9561, 0.9561, 0.2518)

=====

Record 7
Structure and theoretical X-ray powder pattern of Dy3ClO4 (a crystal structure in OQMD, relaxed with GGA-PBE; a wavelength of 1.5418 Å).
Neutral-atom scattering factors, no anomalous dispersion.

Largest 10 diffraction maxima, in order of falling intensity, 2θ from 10° to 90°:
d [Å]	Position (°2θ)	intensity
2.708	33.1	1000
3.219	27.7	960
2.787	32.1	883
5.811	15.2	529
3.792	23.5	505
1.702	53.9	309
1.784	51.2	305
1.588	58.1	283
1.653	55.6	281
2.596	34.5	281

Cell and atoms:
Cell lengths 6.1485, 6.1485, 11.5999 Å; angles 90.00, 90.00, 141.92 degrees
Fractional positions:
Dy (0.1254, 0.8746, 0.7500)
Dy (0.1778, 0.8222, 0.1009)
Dy (0.1778, 0.8222, 0.3991)
Dy (0.8222, 0.1778, 0.6009)
Dy (0.8222, 0.1778, 0.8991)
Dy (0.8746, 0.1254, 0.2500)
Cl (0.5000, 0.5000, 0.0000)
Cl (0.5000, 0.5000, 0.5000)
O (0.0593, 0.9407, 0.2500)
O (0.2338, 0.7662, 0.5889)
O (0.2338, 0.7662, 0.9111)
O (0.2998, 0.7002, 0.2500)
O (0.7002, 0.2998, 0.7500)
O (0.7662, 0.2338, 0.0889)
O (0.7662, 0.2338, 0.4111)
O (0.9407, 0.0593, 0.7500)

=====

Record 8
Structure and theoretical X-ray powder pattern of Dy2Ta2Cl2O7 (a crystal structure in OQMD, relaxed with GGA-PBE; a wavelength of 1.5418 Å).
Neutral-atom scattering factors, no anomalous dispersion.

Largest 10 diffraction maxima, in order of falling intensity, 2θ from 10° to 90°:
d [Å]	Position (°2θ)	intensity
2.968	30.1	1000
3.011	29.7	719
3.741	23.8	716
2.536	35.4	639
6.226	14.2	608
3.058	29.2	433
2.597	34.5	342
1.942	46.8	313
1.872	48.6	310
2.075	43.6	263

Cell and atoms:
Cell lengths 7.8212, 7.8212, 6.8361 Å; angles 113.57, 113.57, 28.75 degrees
Fractional positions:
Dy (0.1955, 0.1955, 0.1630)
Dy (0.8045, 0.8045, 0.8370)
Ta (0.4647, 0.4647, 0.1979)
Ta (0.5353, 0.5353, 0.8021)
Cl (0.1810, 0.1810, 0.5652)
Cl (0.8190, 0.8190, 0.4348)
O (0.0494, 0.0494, 0.8483)
O (0.3203, 0.3203, 0.0626)
O (0.4149, 0.4149, 0.8413)
O (0.5000, 0.5000, 0.5000)
O (0.5851, 0.5851, 0.1587)
O (0.6797, 0.6797, 0.9374)
O (0.9506, 0.9506, 0.1517)

=====

Record 9
Structure and theoretical X-ray powder pattern of Pr2Dy2SiCl5 (a crystal structure in OQMD, relaxed with GGA-PBE; a wavelength of 1.5418 Å).
Neutral-atom scattering factors, no anomalous dispersion.

Largest 10 diffraction maxima, in order of falling intensity, 2θ from 10° to 90°:
d [Å]	Position (°2θ)	intensity
2.928	30.5	1000
8.363	10.6	991
2.898	30.9	438
2.084	43.4	364
3.304	27.0	301
2.036	44.5	298
8.693	10.2	237
2.137	42.3	230
5.485	16.2	220
4.233	21.0	192

Cell and atoms:
Cell lengths 9.1112, 9.1112, 8.5485 Å; angles 101.67, 101.67, 25.49 degrees
Fractional positions:
Pr (0.0019, 0.0019, 0.2681)
Pr (0.9981, 0.9981, 0.7319)
Dy (0.3471, 0.3471, 0.4193)
Dy (0.6529, 0.6529, 0.5807)
Si (0.5000, 0.5000, 0.5000)
Cl (0.1688, 0.1688, 0.8015)
Cl (0.1781, 0.1781, 0.3681)
Cl (0.5000, 0.5000, 0.0000)
Cl (0.8219, 0.8219, 0.6319)
Cl (0.8312, 0.8312, 0.1985)

=====

Record 10
Structure and theoretical X-ray powder pattern of RbDy2Cl7 (a crystal structure in OQMD, relaxed with GGA-PBE; a wavelength of 1.5418 Å).
Neutral-atom scattering factors, no anomalous dispersion.

Largest 10 diffraction maxima, in order of falling intensity, 2θ from 10° to 90°:
d [Å]	Position (°2θ)	intensity
4.447	20.0	1000
6.519	13.6	815
3.473	25.7	815
2.375	37.9	406
2.300	39.2	399
2.557	35.1	396
2.774	32.3	328
2.112	42.8	324
6.082	14.6	309
3.155	28.3	202

Cell and atoms:
Cell lengths 13.0383, 6.9361, 12.6521 Å; angles 90.00, 90.00, 90.00 degrees
Fractional positions:
Rb (0.0428, 0.2500, 0.1931)
Rb (0.4572, 0.7500, 0.6931)
Rb (0.5428, 0.2500, 0.3069)
Rb (0.9572, 0.7500, 0.8069)
Dy (0.2358, 0.2500, 0.5402)
Dy (0.2496, 0.2500, 0.8428)
Dy (0.2504, 0.7500, 0.3428)
Dy (0.2642, 0.7500, 0.0402)
Dy (0.7358, 0.2500, 0.9598)
Dy (0.7496, 0.2500, 0.6572)
Dy (0.7504, 0.7500, 0.1572)
Dy (0.7642, 0.7500, 0.4598)
Cl (0.1057, 0.7500, 0.1881)
Cl (0.1181, 0.0104, 0.4219)
Cl (0.1181, 0.4896, 0.4219)
Cl (0.1308, 0.0098, 0.9604)
Cl (0.1308, 0.4902, 0.9604)
Cl (0.1735, 0.0068, 0.6934)
Cl (0.1735, 0.4932, 0.6934)
Cl (0.3265, 0.5068, 0.1934)
Cl (0.3265, 0.9932, 0.1934)
Cl (0.3692, 0.5098, 0.4604)
Cl (0.3692, 0.9902, 0.4604)
Cl (0.3819, 0.5104, 0.9219)
Cl (0.3819, 0.9896, 0.9219)
Cl (0.3943, 0.2500, 0.6881)
Cl (0.6057, 0.7500, 0.3119)
Cl (0.6181, 0.0104, 0.0781)
Cl (0.6181, 0.4896, 0.0781)
Cl (0.6308, 0.0098, 0.5396)
Cl (0.6308, 0.4902, 0.5396)
Cl (0.6735, 0.0068, 0.8066)
Cl (0.6735, 0.4932, 0.8066)
Cl (0.8265, 0.5068, 0.3066)
Cl (0.8265, 0.9932, 0.3066)
Cl (0.8692, 0.5098, 0.0396)
Cl (0.8692, 0.9902, 0.0396)
Cl (0.8819, 0.5104, 0.5781)
Cl (0.8819, 0.9896, 0.5781)
Cl (0.8943, 0.2500, 0.8119)

=====

Record 11
Structure and theoretical X-ray powder pattern of DyScS2Cl2 (a crystal structure in OQMD, relaxed with GGA-PBE; a wavelength of 1.5418 Å).
Neutral-atom scattering factors, no anomalous dispersion.

Largest 10 diffraction maxima, in order of falling intensity, 2θ from 10° to 90°:
d [Å]	Position (°2θ)	intensity
8.239	10.7	1000
4.412	20.1	635
2.809	31.9	584
1.913	47.5	357
2.897	30.9	265
2.612	34.3	258
2.054	44.1	247
3.481	25.6	222
5.224	17.0	156
1.919	47.4	140

Cell and atoms:
Cell lengths 3.8400, 5.2243, 8.2394 Å; angles 90.00, 90.00, 90.00 degrees
Fractional positions:
Dy (0.0000, 0.0000, 0.0000)
Sc (0.5000, 0.5000, 0.2739)
S (0.0000, 0.5000, 0.0614)
S (0.5000, 0.0000, 0.2349)
Cl (0.0000, 0.5000, 0.4746)
Cl (0.5000, 0.0000, 0.7784)

=====

Record 12
Structure and theoretical X-ray powder pattern of DyTmS2Cl2 (a crystal structure in OQMD, relaxed with GGA-PBE; a wavelength of 1.5418 Å).
Neutral-atom scattering factors, no anomalous dispersion.

Largest 10 diffraction maxima, in order of falling intensity, 2θ from 10° to 90°:
d [Å]	Position (°2θ)	intensity
8.265	10.7	1000
4.481	19.8	752
2.859	31.3	659
1.950	46.6	421
2.082	43.5	305
3.570	24.9	294
2.666	33.6	289
2.967	30.1	275
3.267	27.3	163
1.590	58.0	158

Cell and atoms:
Cell lengths 3.9584, 5.3328, 8.2653 Å; angles 90.00, 90.00, 90.00 degrees
Fractional positions:
Dy (0.0000, 0.0000, 0.0000)
Tm (0.5000, 0.5000, 0.2774)
S (0.0000, 0.5000, 0.0534)
S (0.5000, 0.0000, 0.2307)
Cl (0.0000, 0.5000, 0.4876)
Cl (0.5000, 0.0000, 0.7851)